1.
The following is a calculated powder X-ray diffraction pattern of DySbO3. It was derived from a cell relaxed with PBE, using a wavelength of 1.5418 Å.
Kinematic intensities with the Lorentz-polarization factor, no thermal factor.

Structural model:
Unit cell a=4.248 b=4.248 c=4.248 alpha=90.00 beta=90.00 gamma=90.00
Space group Pm-3m (No. 221)
Asymmetric unit:
Dy 0.000 0.000 0.000
Sb 0.500 0.500 0.500
O 0.000 0.500 0.500

Largest 6 diffraction maxima, by angle, 15° ≤ 2θ ≤ 90°:
two_theta, d [Å], I_rel, hkl
29.74, 3.004, 100, 1 1 0
42.56, 2.124, 29, 2 0 0
52.79, 1.734, 41, 2 1 1
61.77, 1.502, 18, 2 2 0
70.04, 1.343, 18, 3 1 0
85.54, 1.135, 21, 3 2 1



2.
The following is a calculated powder X-ray diffraction pattern of Dy2Sb2O7. It was derived from a cell relaxed with PBE, using a wavelength of 1.5418 Å.
Kinematic intensities with the Lorentz-polarization factor, no thermal factor.

Structural model:
Unit cell a=10.656 b=10.656 c=10.656 alpha=90.00 beta=90.00 gamma=90.00
Space group Fd-3m (No. 227, origin choice 2)
Asymmetric unit:
Dy 0.000 0.000 0.000
Sb 0.000 0.000 0.500
O 0.094 0.375 0.875
O 0.125 0.125 0.125

Largest 6 diffraction maxima, by angle, 15° ≤ 2θ ≤ 90°:
two_theta, d [Å], I_rel, hkl
29.03, 3.076, 100, 2 2 2
33.64, 2.664, 33, 4 0 0
48.32, 1.884, 49, 4 4 0
57.36, 1.606, 44, 6 2 2
78.20, 1.222, 18, 6 6 2
80.64, 1.191, 14, 8 4 0



3.
The following is a calculated powder X-ray diffraction pattern of Dy2Sb2O7. It was derived from a cell relaxed with PBE, using a wavelength of 1.5418 Å.
Kinematic intensities with the Lorentz-polarization factor, no thermal factor.

Structural model:
Unit cell a=7.701 b=10.653 c=7.411 alpha=90.00 beta=90.00 gamma=90.00
Space group Imma (No. 74)
Asymmetric unit:
Dy 0.000 0.000 0.000
Dy 0.250 0.250 0.250
Sb 0.000 0.000 0.500
Sb 0.250 0.250 0.750
O 0.000 0.119 0.247
O 0.000 0.250 0.784
O 0.247 0.123 0.550

Largest 6 diffraction maxima, by angle, 15° ≤ 2θ ≤ 90°:
two_theta, d [Å], I_rel, hkl
28.61, 3.120, 96, 2 2 0
29.36, 3.042, 100, 0 2 2
33.60, 2.668, 68, 0 4 0
48.27, 1.886, 60, 2 4 2
56.58, 1.627, 31, 4 2 2
57.88, 1.593, 27, 2 2 4



4.
The following is a calculated powder X-ray diffraction pattern of DySbO4. It was derived from a cell relaxed with PBE, using a wavelength of 1.5418 Å.
Kinematic intensities with the Lorentz-polarization factor, no thermal factor.

Structural model:
Unit cell a=7.689 b=5.397 c=7.571 alpha=90.00 beta=98.89 gamma=90.00
Space group P2_1/c (No. 14)
Asymmetric unit:
Dy 0.147 0.225 0.388
Sb 0.337 0.733 0.194
O 0.114 0.527 0.176
O 0.181 0.015 0.120
O 0.327 0.619 0.940
O 0.432 0.094 0.806

Largest 6 diffraction maxima, by angle, 15° ≤ 2θ ≤ 90°:
two_theta, d [Å], I_rel, hkl
28.74, 3.106, 100, 2 1 0
29.05, 3.074, 78, 0 1 2
29.94, 2.985, 27, 1 1 -2
33.20, 2.699, 27, 0 2 0
45.95, 1.975, 16, 2 2 -2
49.94, 1.826, 25, 2 2 2



5.
The following is a calculated powder X-ray diffraction pattern of Dy3SbO7. It was derived from a cell relaxed with PBE, using a wavelength of 1.5418 Å.
Kinematic intensities with the Lorentz-polarization factor, no thermal factor.

Structural model:
Unit cell a=7.511 b=10.572 c=7.511 alpha=90.00 beta=90.00 gamma=90.00
Space group C222_1 (No. 20)
Asymmetric unit:
Dy 0.014 0.000 0.000
Dy 0.234 0.266 0.752
Sb 0.001 0.500 0.500
O 0.000 0.129 0.250
O 0.000 0.138 0.750
O 0.000 0.429 0.750
O 0.189 0.373 0.033
O 0.202 0.377 0.472

Largest 6 diffraction maxima, by angle, 15° ≤ 2θ ≤ 90°:
two_theta, d [Å], I_rel, hkl
29.17, 3.062, 100, 2 2 0
33.75, 2.656, 24, 2 0 2
48.48, 1.878, 15, 0 0 4
48.60, 1.873, 29, 2 4 2
57.58, 1.601, 28, 2 2 4
57.80, 1.595, 12, 0 6 2



6.
The following is a calculated powder X-ray diffraction pattern of DyScO3. It was derived from a cell relaxed with PBE, using a wavelength of 1.5418 Å.
Kinematic intensities with the Lorentz-polarization factor, no thermal factor.

Structural model:
Unit cell a=5.748 b=7.988 c=5.454 alpha=90.00 beta=90.00 gamma=90.00
Space group Pnma (No. 62)
Asymmetric unit:
Dy 0.062 0.250 0.020
Sc 0.000 0.000 0.500
O 0.057 0.750 0.369
O 0.194 0.568 0.809

Largest 6 diffraction maxima, by angle, 15° ≤ 2θ ≤ 90°:
two_theta, d [Å], I_rel, hkl
22.26, 3.994, 22, 0 2 0
22.47, 3.956, 33, 1 0 1
25.12, 3.545, 20, 1 1 1
31.84, 2.811, 100, 1 2 1
32.84, 2.727, 22, 0 0 2
58.02, 1.590, 27, 1 2 3